For Cs2Rb4Zn2O5, a structure optimized by DFT (GGA-PBE) gives the calculated powder diffraction line list in this record (Cu Ka).

Top 12 peaks for 10° ≤ 2θ ≤ 80°, in order of rising 2θ:
| 2θ (°) | Rel. int. |
| --- | --- |
| 25.4 | 249 |
| 28.7 | 406 |
| 29.0 | 781 |
| 29.7 | 1000 |
| 34.7 | 187 |
| 37.0 | 198 |
| 37.2 | 237 |
| 37.9 | 149 |
| 39.8 | 109 |
| 47.2 | 223 |
| 54.9 | 143 |
| 62.0 | 115 |

Structural model:
Unit cell a=7.0099 b=7.0099 c=6.9746 alpha=91.93 beta=91.93 gamma=118.30
Atoms (fractional coordinates):
1 Cs 0.2050 0.7950 0.0000
2 Cs 0.7950 0.2050 0.0000
3 Rb 0.2331 0.7655 0.4959
4 Rb 0.3532 0.3532 0.1896
5 Rb 0.6308 0.6308 0.8163
6 Rb 0.7655 0.2331 0.4959
7 Zn 0.2128 0.2128 0.6605
8 Zn 0.7953 0.7953 0.3113
9 O 0.0463 0.0463 0.4306
10 O 0.1760 0.4470 0.7632
11 O 0.4470 0.1760 0.7632
12 O 0.5447 0.8173 0.2366
13 O 0.8173 0.5447 0.2366

=====

For Cs2Rb4Zn2O5, a structure optimized by DFT (GGA-PBE) gives the calculated powder diffraction line list in this record (Cu Ka).

Top 12 peaks for 10° ≤ 2θ ≤ 80°, in order of rising 2θ:
| 2θ (°) | Rel. int. |
| --- | --- |
| 25.5 | 114 |
| 28.7 | 116 |
| 29.2 | 760 |
| 29.7 | 1000 |
| 31.7 | 132 |
| 32.2 | 128 |
| 35.7 | 142 |
| 36.7 | 307 |
| 38.8 | 94 |
| 47.5 | 137 |
| 47.9 | 126 |
| 52.7 | 136 |

Structural model:
Unit cell a=6.9910 b=6.9910 c=6.9482 alpha=90.77 beta=90.77 gamma=118.88
Atoms (fractional coordinates):
1 Cs 0.0000 0.0000 0.0000
2 Cs 0.6779 0.6779 0.4000
3 Rb 0.1058 0.5702 0.7081
4 Rb 0.1200 0.5578 0.2106
5 Rb 0.5578 0.1200 0.2106
6 Rb 0.5702 0.1058 0.7081
7 Zn 0.1380 0.1380 0.5117
8 Zn 0.5433 0.5433 0.8957
9 O 0.1775 0.8987 0.4376
10 O 0.3565 0.3565 0.6866
11 O 0.5010 0.7773 0.9840
12 O 0.7773 0.5010 0.9840
13 O 0.8987 0.1775 0.4376

=====

For Cs4Rb2Zn2O5, a structure optimized by DFT (GGA-PBE) gives the calculated powder diffraction line list in this record (Cu Ka).

Top 12 peaks for 10° ≤ 2θ ≤ 80°, in order of rising 2θ:
| 2θ (°) | Rel. int. |
| --- | --- |
| 24.5 | 201 |
| 25.0 | 361 |
| 27.6 | 274 |
| 28.5 | 1000 |
| 29.0 | 915 |
| 29.2 | 436 |
| 33.3 | 272 |
| 36.4 | 282 |
| 36.6 | 221 |
| 37.1 | 301 |
| 46.0 | 196 |
| 53.8 | 173 |

Structural model:
Unit cell a=7.1287 b=7.1287 c=7.1705 alpha=93.13 beta=93.13 gamma=118.20
Atoms (fractional coordinates):
1 Cs 0.2056 0.7944 0.0000
2 Cs 0.2410 0.7581 0.4965
3 Cs 0.7581 0.2410 0.4965
4 Cs 0.7944 0.2056 0.0000
5 Rb 0.3530 0.3530 0.1857
6 Rb 0.6216 0.6216 0.8448
7 Zn 0.2074 0.2074 0.6634
8 Zn 0.8077 0.8077 0.3047
9 O 0.0583 0.0583 0.4222
10 O 0.1699 0.4338 0.7780
11 O 0.4338 0.1699 0.7780
12 O 0.5543 0.8189 0.2239
13 O 0.8189 0.5543 0.2239

=====

For Cs5RbZn2O5, a structure optimized by DFT (GGA-PBE) gives the calculated powder diffraction line list in this record (Cu Ka).

Top 12 peaks for 10° ≤ 2θ ≤ 80°, in order of rising 2θ:
| 2θ (°) | Rel. int. |
| --- | --- |
| 24.3 | 143 |
| 24.9 | 302 |
| 27.7 | 303 |
| 28.4 | 1000 |
| 28.8 | 930 |
| 29.0 | 447 |
| 33.5 | 246 |
| 36.2 | 177 |
| 36.5 | 301 |
| 36.6 | 213 |
| 45.8 | 204 |
| 47.3 | 161 |

Structural model:
Unit cell a=7.1663 b=7.1663 c=7.2042 alpha=92.45 beta=92.45 gamma=118.32
Atoms (fractional coordinates):
1 Cs 0.0000 0.0000 0.0000
2 Cs 0.4185 0.8962 0.3048
3 Cs 0.4413 0.8610 0.8053
4 Cs 0.8610 0.4413 0.8053
5 Cs 0.8962 0.4185 0.3048
6 Rb 0.2822 0.2822 0.6381
7 Zn 0.4548 0.4548 0.1153
8 Zn 0.8612 0.8612 0.4840
9 O 0.0944 0.8300 0.5833
10 O 0.2132 0.4795 0.0295
11 O 0.4795 0.2132 0.0295
12 O 0.6852 0.6852 0.2679
13 O 0.8300 0.0944 0.5833